# 1
Structure and calculated powder X-ray diffraction pattern of Li6Pr2Pd3 (a cell relaxed with PBE; Cu Kα (λ = 1.5418 Å)).
Lines closer than 0.1° are merged.

Peak list (12 most intense, 2θ = 10–90°, sorted by position)
2θ (°), Rel. int.
12.98, 79
22.58, 35
31.75, 100
34.43, 43
34.80, 20
39.64, 22
41.57, 18
48.09, 21
53.49, 12
61.44, 12
67.01, 13
67.92, 14

Cell and atoms:
a b c (Å): 7.877 7.877 4.035
angles (deg): 90.00 90.00 120.00
Positions (direct):
Li: 0.000 0.255 0.000
Li: 0.000 0.792 0.500
Li: 0.208 0.208 0.500
Li: 0.255 0.000 0.000
Li: 0.745 0.745 0.000
Li: 0.792 0.000 0.500
Pr: 0.333 0.667 0.500
Pr: 0.667 0.333 0.500
Pd: 0.000 0.590 0.000
Pd: 0.410 0.410 0.000
Pd: 0.590 0.000 0.000

***

# 2
Structure and calculated powder X-ray diffraction pattern of Y3Tm2 (a cell relaxed with PBE; Cu Kα (λ = 1.5418 Å)).
Lines closer than 0.1° are merged.

Peak list (12 most intense, 2θ = 10–90°, sorted by position)
2θ (°), Rel. int.
17.75, 6
28.53, 24
31.88, 24
32.77, 100
43.31, 15
50.52, 20
57.38, 20
61.00, 22
61.53, 16
79.93, 8
83.55, 14
88.15, 8

Cell and atoms:
a b c (Å): 6.676 6.676 9.150
angles (deg): 107.57 107.57 55.88
Positions (direct):
Y: 0.032 0.365 0.650
Y: 0.170 0.830 0.750
Y: 0.365 0.032 0.150
Y: 0.635 0.968 0.850
Y: 0.830 0.170 0.250
Y: 0.968 0.635 0.350
Tm: 0.234 0.565 0.050
Tm: 0.435 0.766 0.450
Tm: 0.565 0.234 0.550
Tm: 0.766 0.435 0.950

***

Copy entry 2 word for word.
Structure and calculated powder X-ray diffraction pattern of Y3Tm2 (a cell relaxed with PBE; Cu Kα (λ = 1.5418 Å)).
Lines closer than 0.1° are merged.

Peak list (12 most intense, 2θ = 10–90°, sorted by position)
2θ (°), Rel. int.
17.75, 6
28.53, 24
31.88, 24
32.77, 100
43.31, 15
50.52, 20
57.38, 20
61.00, 22
61.53, 16
79.93, 8
83.55, 14
88.15, 8

Cell and atoms:
a b c (Å): 6.676 6.676 9.150
angles (deg): 107.57 107.57 55.88
Positions (direct):
Y: 0.032 0.365 0.650
Y: 0.170 0.830 0.750
Y: 0.365 0.032 0.150
Y: 0.635 0.968 0.850
Y: 0.830 0.170 0.250
Y: 0.968 0.635 0.350
Tm: 0.234 0.565 0.050
Tm: 0.435 0.766 0.450
Tm: 0.565 0.234 0.550
Tm: 0.766 0.435 0.950